Li4MnFe3P4O16: theoretical powder diffractogram (Cu Kα (λ = 1.5418 Å)), based on a GGA+U-relaxed structure.
Peak positions follow from Bragg's law for the DFT cell and can differ from measured ones.

Main lines, by angle (10 to 80 degrees two-theta):
- 5.244 Å, 2θ = 16.9°, I 30
- 4.336 Å, 2θ = 20.5°, I 59
- 3.534 Å, 2θ = 25.2°, I 89
- 3.052 Å, 2θ = 29.3°, I 76
- 2.818 Å, 2θ = 31.8°, I 28
- 2.559 Å, 2θ = 35.1°, I 100
- 2.496 Å, 2θ = 36.0°, I 30
- 2.409 Å, 2θ = 37.3°, I 21
- 2.169 Å, 2θ = 41.6°, I 19
- 1.768 Å, 2θ = 51.7°, I 36
- 1.680 Å, 2θ = 54.6°, I 19
- 1.650 Å, 2θ = 55.7°, I 24

Structure:
a = 12.2085 Å, b = 4.7625 Å, c = 10.4877 Å
α = 90.00°, β = 90.00°, γ = 90.00°
Fractional positions:
Li 0.1250 0.2461 0.0000
Li 0.1269 0.7519 0.4983
Li 0.3731 0.2481 0.9983
Li 0.3750 0.7539 0.5000
Li 0.6250 0.7539 0.5000
Li 0.6269 0.2481 0.9983
Li 0.8731 0.7519 0.4983
Li 0.8750 0.2461 0.0000
Mn 0.0000 0.2710 0.7178
Mn 0.5000 0.7290 0.2178
Fe 0.0000 0.7236 0.2170
Fe 0.2500 0.2241 0.2802
Fe 0.2500 0.7759 0.7802
Fe 0.5000 0.2764 0.7170
Fe 0.7500 0.2241 0.2802
Fe 0.7500 0.7759 0.7802
P 0.0000 0.1650 0.4019
P 0.0000 0.8284 0.9073
P 0.2489 0.6633 0.0923
P 0.2511 0.3367 0.5923
P 0.5000 0.1716 0.4073
P 0.5000 0.8350 0.9019
P 0.7489 0.3367 0.5923
P 0.7511 0.6633 0.0923
O 0.0000 0.0417 0.5389
O 0.0000 0.4878 0.3989
O 0.0000 0.5061 0.9052
O 0.0000 0.9548 0.0442
O 0.1012 0.0315 0.3314
O 0.1012 0.9601 0.8366
O 0.1466 0.5326 0.1620
O 0.1509 0.4729 0.6628
O 0.2495 0.5404 0.9548
O 0.2500 0.0138 0.5953
O 0.2500 0.9862 0.0953
O 0.2505 0.4596 0.4548
O 0.3491 0.5271 0.1628
O 0.3534 0.4674 0.6620
O 0.3988 0.0399 0.3366
O 0.3988 0.9685 0.8314
O 0.5000 0.0452 0.5442
O 0.5000 0.4939 0.4052
O 0.5000 0.5122 0.8989
O 0.5000 0.9583 0.0389
O 0.6012 0.0399 0.3366
O 0.6012 0.9685 0.8314
O 0.6466 0.4674 0.6620
O 0.6509 0.5271 0.1628
O 0.7495 0.4596 0.4548
O 0.7500 0.0138 0.5953
O 0.7500 0.9862 0.0953
O 0.7505 0.5404 0.9548
O 0.8491 0.4729 0.6628
O 0.8534 0.5326 0.1620
O 0.8988 0.0315 0.3314
O 0.8988 0.9601 0.8366